[1]
The following is a calculated powder diffractogram of HoMgScRh. It was derived from a cell relaxed with GGA-PBE, using Cu Kα (λ = 1.5418 Å).

Top 10 peaks for 2θ from 10° to 90°, sorted by position:
| two_theta | intensity |
| --- | --- |
| 11.9 | 87.3 |
| 28.7 | 30.8 |
| 35.6 | 100.0 |
| 37.1 | 50.4 |
| 39.1 | 20.3 |
| 45.2 | 24.0 |
| 53.5 | 17.3 |
| 63.1 | 13.1 |
| 66.0 | 32.2 |
| 72.6 | 11.6 |

Atomic structure:
Lattice parameters (Å, degrees): 3.4246 3.4246 7.4329 90.00 90.00 90.00
Fractional positions:
Ho (0.0000, 0.0000, 0.0000)
Mg (0.5000, 0.5000, 0.3100)
Sc (0.0000, 0.0000, 0.5790)
Rh (0.5000, 0.5000, 0.7696)


[2]
The following is a calculated powder diffractogram of Ho4MgRu. It was derived from a cell relaxed with GGA-PBE, using Cu Kα (λ = 1.5418 Å).

Top 10 peaks for 2θ from 10° to 90°, sorted by position:
| two_theta | intensity |
| --- | --- |
| 11.2 | 25.7 |
| 28.5 | 48.5 |
| 32.1 | 60.2 |
| 34.1 | 100.0 |
| 37.3 | 33.2 |
| 55.1 | 16.1 |
| 57.3 | 55.4 |
| 58.6 | 14.6 |
| 86.4 | 16.8 |
| 88.3 | 16.3 |

Atomic structure:
Lattice parameters (Å, degrees): 9.6508 9.6508 9.6508 60.00 60.00 60.00
Fractional positions:
Ho (0.1871, 0.1871, 0.8129)
Ho (0.1871, 0.8129, 0.1871)
Ho (0.1871, 0.8129, 0.8129)
Ho (0.3439, 0.3439, 0.3439)
Ho (0.3439, 0.3439, 0.9684)
Ho (0.3439, 0.9684, 0.3439)
Ho (0.5620, 0.5620, 0.9380)
Ho (0.5620, 0.9380, 0.5620)
Ho (0.5620, 0.9380, 0.9380)
Ho (0.8129, 0.1871, 0.1871)
Ho (0.8129, 0.1871, 0.8129)
Ho (0.8129, 0.8129, 0.1871)
Ho (0.9380, 0.5620, 0.5620)
Ho (0.9380, 0.5620, 0.9380)
Ho (0.9380, 0.9380, 0.5620)
Ho (0.9684, 0.3439, 0.3439)
Mg (0.2619, 0.5794, 0.5794)
Mg (0.5794, 0.2619, 0.5794)
Mg (0.5794, 0.5794, 0.2619)
Mg (0.5794, 0.5794, 0.5794)
Ru (0.1391, 0.1391, 0.1391)
Ru (0.1391, 0.1391, 0.5826)
Ru (0.1391, 0.5826, 0.1391)
Ru (0.5826, 0.1391, 0.1391)


[3]
The following is a calculated powder diffractogram of Ho3MgRu. It was derived from a cell relaxed with GGA-PBE, using Cu Kα (λ = 1.5418 Å).

Top 10 peaks for 2θ from 10° to 90°, sorted by position:
| two_theta | intensity |
| --- | --- |
| 11.7 | 84.7 |
| 17.0 | 51.7 |
| 28.0 | 58.2 |
| 29.1 | 50.1 |
| 30.7 | 100.0 |
| 34.3 | 50.9 |
| 34.8 | 98.8 |
| 39.0 | 59.5 |
| 49.7 | 39.8 |
| 51.2 | 42.3 |

Atomic structure:
Lattice parameters (Å, degrees): 9.2119 9.2119 3.5080 90.00 90.00 110.86
Fractional positions:
Ho (0.1719, 0.4019, 0.5000)
Ho (0.2056, 0.7944, 0.0000)
Ho (0.4019, 0.1719, 0.5000)
Ho (0.5981, 0.8281, 0.5000)
Ho (0.7944, 0.2056, 0.0000)
Ho (0.8281, 0.5981, 0.5000)
Mg (0.0000, 0.0000, 0.5000)
Mg (0.5000, 0.5000, 0.0000)
Ru (0.0000, 0.5000, 0.0000)
Ru (0.5000, 0.0000, 0.0000)


[4]
The following is a calculated powder diffractogram of Ho2Mg2Ru. It was derived from a cell relaxed with GGA-PBE, using Cu Kα (λ = 1.5418 Å).

Top 10 peaks for 2θ from 10° to 90°, sorted by position:
| two_theta | intensity |
| --- | --- |
| 26.2 | 12.1 |
| 26.5 | 29.6 |
| 34.3 | 100.0 |
| 37.3 | 51.5 |
| 38.4 | 22.5 |
| 40.7 | 45.0 |
| 53.9 | 23.3 |
| 65.4 | 35.5 |
| 69.6 | 18.6 |
| 79.7 | 12.7 |

Atomic structure:
Lattice parameters (Å, degrees): 3.4057 3.4057 20.4098 90.00 90.00 90.00
Fractional positions:
Ho (0.0000, 0.0000, 0.0806)
Ho (0.0000, 0.0000, 0.9194)
Ho (0.5000, 0.5000, 0.4194)
Ho (0.5000, 0.5000, 0.5806)
Mg (0.0000, 0.0000, 0.2977)
Mg (0.0000, 0.0000, 0.7023)
Mg (0.5000, 0.5000, 0.2023)
Mg (0.5000, 0.5000, 0.7977)
Ru (0.0000, 0.0000, 0.5000)
Ru (0.5000, 0.5000, 0.0000)


[5]
The following is a calculated powder diffractogram of HoMg2S4. It was derived from a cell relaxed with GGA-PBE, using Cu Kα (λ = 1.5418 Å).

Top 10 peaks for 2θ from 10° to 90°, sorted by position:
| two_theta | intensity |
| --- | --- |
| 14.3 | 100.0 |
| 16.1 | 31.1 |
| 26.9 | 70.7 |
| 27.1 | 34.2 |
| 32.5 | 28.2 |
| 33.1 | 54.0 |
| 37.0 | 27.6 |
| 43.9 | 19.4 |
| 47.1 | 52.0 |
| 48.9 | 22.0 |

Atomic structure:
Lattice parameters (Å, degrees): 7.7247 7.7247 7.7247 122.29 118.80 89.08
Fractional positions:
Ho (0.0000, 0.0000, 0.0000)
Ho (0.5000, 0.0000, 0.5000)
Mg (0.0000, 0.0000, 0.5000)
Mg (0.0000, 0.5000, 0.0000)
Mg (0.3834, 0.6334, 0.7500)
Mg (0.6166, 0.3666, 0.2500)
S (0.2309, 0.2468, 0.9841)
S (0.2374, 0.7532, 0.4841)
S (0.2388, 0.2363, 0.4975)
S (0.2388, 0.7413, 0.0025)
S (0.7612, 0.2587, 0.9975)
S (0.7612, 0.7637, 0.5025)
S (0.7626, 0.2468, 0.5159)
S (0.7691, 0.7532, 0.0159)


[6]
The following is a calculated powder diffractogram of HoMg4Sc. It was derived from a cell relaxed with GGA-PBE, using Cu Kα (λ = 1.5418 Å).

Top 10 peaks for 2θ from 10° to 90°, sorted by position:
| two_theta | intensity |
| --- | --- |
| 17.2 | 18.0 |
| 19.9 | 71.5 |
| 26.4 | 15.0 |
| 34.5 | 100.0 |
| 34.9 | 69.6 |
| 40.5 | 11.6 |
| 49.8 | 17.3 |
| 49.9 | 17.2 |
| 62.3 | 23.0 |
| 69.1 | 12.8 |

Atomic structure:
Lattice parameters (Å, degrees): 3.2045 5.1420 8.9238 90.00 90.16 90.00
Fractional positions:
Ho (0.0000, 0.0000, 0.0000)
Mg (0.4965, 0.0000, 0.6614)
Mg (0.4969, 0.5000, 0.8269)
Mg (0.5031, 0.5000, 0.1731)
Mg (0.5035, 0.0000, 0.3386)
Sc (0.0000, 0.5000, 0.5000)


[7]
The following is a calculated powder diffractogram of Ho3Mg8Sc3. It was derived from a cell relaxed with GGA-PBE, using Cu Kα (λ = 1.5418 Å).

Top 10 peaks for 2θ from 10° to 90°, sorted by position:
| two_theta | intensity |
| --- | --- |
| 15.0 | 81.4 |
| 19.1 | 100.0 |
| 28.7 | 45.4 |
| 31.9 | 26.5 |
| 32.3 | 77.4 |
| 32.5 | 25.9 |
| 33.6 | 38.6 |
| 35.5 | 42.7 |
| 35.7 | 60.5 |
| 36.0 | 29.6 |

Atomic structure:
Lattice parameters (Å, degrees): 8.7798 8.7798 8.7798 146.48 95.54 94.00
Fractional positions:
Ho (0.0000, 0.0000, 0.0000)
Ho (0.2786, 0.2786, 0.0000)
Ho (0.7214, 0.7214, 0.0000)
Mg (0.0104, 0.6341, 0.3763)
Mg (0.1233, 0.8579, 0.2654)
Mg (0.2578, 0.6341, 0.6237)
Mg (0.4075, 0.1421, 0.2654)
Mg (0.5925, 0.8579, 0.7346)
Mg (0.7422, 0.3659, 0.3763)
Mg (0.8767, 0.1421, 0.7346)
Mg (0.9896, 0.3659, 0.6237)
Sc (0.3517, 0.5000, 0.8517)
Sc (0.5000, 0.0000, 0.5000)
Sc (0.6483, 0.5000, 0.1483)


[8]
The following is a calculated powder diffractogram of HoMg7Sc2. It was derived from a cell relaxed with GGA-PBE, using Cu Kα (λ = 1.5418 Å).

Top 10 peaks for 2θ from 10° to 90°, sorted by position:
| two_theta | intensity |
| --- | --- |
| 12.5 | 100.0 |
| 17.2 | 89.8 |
| 23.8 | 59.1 |
| 28.6 | 62.4 |
| 29.1 | 94.0 |
| 32.5 | 82.1 |
| 33.5 | 61.5 |
| 36.7 | 96.9 |
| 37.5 | 55.9 |
| 38.2 | 33.5 |

Atomic structure:
Lattice parameters (Å, degrees): 11.3418 11.3418 3.2613 90.00 90.00 141.46
Fractional positions:
Ho (0.0000, 0.0000, 0.0000)
Mg (0.0587, 0.3157, 0.5000)
Mg (0.3157, 0.0587, 0.5000)
Mg (0.3855, 0.6145, 0.0000)
Mg (0.5000, 0.5000, 0.5000)
Mg (0.6145, 0.3855, 0.0000)
Mg (0.6843, 0.9413, 0.5000)
Mg (0.9413, 0.6843, 0.5000)
Sc (0.2616, 0.7384, 0.5000)
Sc (0.7384, 0.2616, 0.5000)


[9]
The following is a calculated powder diffractogram of Ho6Mg2Sc. It was derived from a cell relaxed with GGA-PBE, using Cu Kα (λ = 1.5418 Å).

Top 10 peaks for 2θ from 10° to 90°, sorted by position:
| two_theta | intensity |
| --- | --- |
| 14.0 | 18.5 |
| 15.1 | 34.5 |
| 28.3 | 41.5 |
| 29.2 | 100.0 |
| 34.6 | 69.0 |
| 37.5 | 82.9 |
| 38.8 | 21.2 |
| 51.1 | 30.7 |
| 57.1 | 27.3 |
| 59.5 | 22.9 |

Atomic structure:
Lattice parameters (Å, degrees): 7.5370 7.5370 7.5370 56.59 56.59 56.59
Fractional positions:
Ho (0.1473, 0.1904, 0.6623)
Ho (0.1904, 0.6623, 0.1473)
Ho (0.3609, 0.8277, 0.4052)
Ho (0.4052, 0.3609, 0.8277)
Ho (0.6623, 0.1473, 0.1904)
Ho (0.8277, 0.4052, 0.3609)
Mg (0.6786, 0.6786, 0.6786)
Mg (0.8537, 0.8537, 0.8537)
Sc (0.1129, 0.1129, 0.1129)


[10]
The following is a calculated powder diffractogram of HoMgSc. It was derived from a cell relaxed with GGA-PBE, using Cu Kα (λ = 1.5418 Å).

Top 10 peaks for 2θ from 10° to 90°, sorted by position:
| two_theta | intensity |
| --- | --- |
| 10.5 | 84.4 |
| 19.9 | 24.2 |
| 25.5 | 29.2 |
| 27.1 | 35.2 |
| 34.1 | 30.4 |
| 34.3 | 100.0 |
| 36.2 | 28.0 |
| 40.6 | 19.3 |
| 43.0 | 19.3 |
| 61.1 | 18.2 |

Atomic structure:
Lattice parameters (Å, degrees): 3.5747 16.8613 5.2656 90.00 90.00 90.00
Fractional positions:
Ho (0.0000, 0.0621, 0.0000)
Ho (0.0000, 0.9379, 0.5000)
Ho (0.5000, 0.4379, 0.5000)
Ho (0.5000, 0.5621, 0.0000)
Mg (0.0000, 0.2707, 0.4989)
Mg (0.0000, 0.7293, 0.9989)
Mg (0.5000, 0.2293, 0.9989)
Mg (0.5000, 0.7707, 0.4989)
Sc (0.0000, 0.3906, 0.9998)
Sc (0.0000, 0.6094, 0.4998)
Sc (0.5000, 0.1094, 0.4998)
Sc (0.5000, 0.8906, 0.9998)


[11]
The following is a calculated powder diffractogram of HoMg5Sc. It was derived from a cell relaxed with GGA-PBE, using Cu Kα (λ = 1.5418 Å).

Top 10 peaks for 2θ from 10° to 90°, sorted by position:
| two_theta | intensity |
| --- | --- |
| 14.4 | 25.6 |
| 18.0 | 57.7 |
| 18.4 | 30.1 |
| 19.5 | 67.5 |
| 26.3 | 54.1 |
| 29.5 | 31.5 |
| 32.9 | 44.6 |
| 34.7 | 100.0 |
| 36.5 | 51.4 |
| 37.4 | 22.6 |

Atomic structure:
Lattice parameters (Å, degrees): 6.1027 9.6301 6.5254 90.00 110.03 90.00
Fractional positions:
Ho (0.0000, 0.0000, 0.0000)
Ho (0.5000, 0.5000, 0.0000)
Mg (0.0000, 0.0000, 0.5000)
Mg (0.1954, 0.2869, 0.2330)
Mg (0.1954, 0.7131, 0.2330)
Mg (0.3046, 0.2131, 0.7670)
Mg (0.3046, 0.7869, 0.7670)
Mg (0.5000, 0.5000, 0.5000)
Mg (0.6954, 0.2131, 0.2330)
Mg (0.6954, 0.7869, 0.2330)
Mg (0.8046, 0.2869, 0.7670)
Mg (0.8046, 0.7131, 0.7670)
Sc (0.0000, 0.5000, 0.5000)
Sc (0.5000, 0.0000, 0.5000)


[12]
The following is a calculated powder diffractogram of Ho3Mg2Sc2. It was derived from a cell relaxed with GGA-PBE, using Cu Kα (λ = 1.5418 Å).

Top 10 peaks for 2θ from 10° to 90°, sorted by position:
| two_theta | intensity |
| --- | --- |
| 18.0 | 90.5 |
| 23.9 | 43.6 |
| 26.4 | 27.8 |
| 32.1 | 100.0 |
| 33.2 | 90.9 |
| 35.5 | 43.0 |
| 35.9 | 57.1 |
| 42.9 | 25.0 |
| 51.4 | 40.9 |
| 65.1 | 25.3 |

Atomic structure:
Lattice parameters (Å, degrees): 5.0523 22.3133 3.3800 90.00 90.00 90.00
Fractional positions:
Ho (0.0000, 0.0000, 0.0000)
Ho (0.0000, 0.1540, 0.0000)
Ho (0.0000, 0.8460, 0.0000)
Ho (0.5000, 0.3460, 0.0000)
Ho (0.5000, 0.5000, 0.0000)
Ho (0.5000, 0.6540, 0.0000)
Mg (0.0000, 0.4279, 0.5000)
Mg (0.0000, 0.5721, 0.5000)
Mg (0.5000, 0.0721, 0.5000)
Mg (0.5000, 0.9279, 0.5000)
Sc (0.0000, 0.2853, 0.5000)
Sc (0.0000, 0.7147, 0.5000)
Sc (0.5000, 0.2147, 0.5000)
Sc (0.5000, 0.7853, 0.5000)


[13]
The following is a calculated powder diffractogram of HoMg4Sc3. It was derived from a cell relaxed with GGA-PBE, using Cu Kα (λ = 1.5418 Å).

Top 10 peaks for 2θ from 10° to 90°, sorted by position:
| two_theta | intensity |
| --- | --- |
| 12.2 | 14.7 |
| 17.2 | 15.7 |
| 21.1 | 19.7 |
| 24.4 | 29.9 |
| 27.4 | 11.7 |
| 34.8 | 100.0 |
| 41.1 | 11.2 |
| 50.1 | 11.5 |
| 62.5 | 34.1 |
| 84.0 | 9.5 |

Atomic structure:
Lattice parameters (Å, degrees): 10.3084 7.2723 5.1544 90.00 90.00 90.00
Fractional positions:
Ho (0.0000, 0.0000, 0.0000)
Ho (0.5000, 0.0000, 0.0000)
Mg (0.0000, 0.2587, 0.5000)
Mg (0.0000, 0.7413, 0.5000)
Mg (0.2500, 0.2589, 0.0062)
Mg (0.2500, 0.7411, 0.0062)
Mg (0.5000, 0.2587, 0.5000)
Mg (0.5000, 0.7413, 0.5000)
Mg (0.7500, 0.2589, 0.9938)
Mg (0.7500, 0.7411, 0.9938)
Sc (0.0000, 0.5000, 0.0000)
Sc (0.2500, 0.0000, 0.5052)
Sc (0.2500, 0.5000, 0.5056)
Sc (0.5000, 0.5000, 0.0000)
Sc (0.7500, 0.0000, 0.4948)
Sc (0.7500, 0.5000, 0.4944)


[14]
The following is a calculated powder diffractogram of Ho2Mg2Sc3. It was derived from a cell relaxed with GGA-PBE, using Cu Kα (λ = 1.5418 Å).

Top 10 peaks for 2θ from 10° to 90°, sorted by position:
| two_theta | intensity |
| --- | --- |
| 11.8 | 31.2 |
| 21.0 | 67.1 |
| 25.2 | 23.0 |
| 27.9 | 38.8 |
| 34.0 | 100.0 |
| 34.2 | 97.1 |
| 36.1 | 19.0 |
| 49.0 | 39.5 |
| 60.9 | 20.6 |
| 61.0 | 35.0 |

Atomic structure:
Lattice parameters (Å, degrees): 8.0705 8.0705 8.0705 38.12 38.12 38.12
Fractional positions:
Ho (0.2159, 0.2159, 0.2159)
Ho (0.7841, 0.7841, 0.7841)
Mg (0.0667, 0.0667, 0.0667)
Mg (0.9333, 0.9333, 0.9333)
Sc (0.3616, 0.3616, 0.3616)
Sc (0.5000, 0.5000, 0.5000)
Sc (0.6384, 0.6384, 0.6384)